NdV3O9: calculated powder XRD pattern (a wavelength of 1.5418 Å), based on a PBE+U-relaxed structure.
Intensities are scaled so that the largest is 100.

Largest 10 diffraction maxima, by angle, 2θ = 10–90°:
2θ (°)  Rel. int.
12.2  29.4
14.6  47.7
22.8  100.0
24.1  81.5
27.1  55.4
32.6  39.9
33.5  31.8
42.8  24.4
46.7  32.9
51.0  23.1

Structure:
```
NdV3O9
1.0
4.5344 -6.0505 0.0000
4.5344 6.0505 0.0000
0.0000 0.0000 7.7850
Nd V O
2 6 18
direct
0.1069 0.1069 0.0000 Nd
0.8931 0.8931 0.5000 Nd
0.2520 0.2520 0.5000 V
0.2946 0.6541 0.9684 V
0.3459 0.7054 0.5316 V
0.6541 0.2946 0.0316 V
0.7054 0.3459 0.4684 V
0.7480 0.7480 0.0000 V
0.1210 0.1578 0.6741 O
0.1578 0.1210 0.3259 O
0.1734 0.8080 0.9893 O
0.1828 0.4380 0.0330 O
0.1920 0.8266 0.5107 O
0.2575 0.4800 0.4344 O
0.3593 0.6407 0.7500 O
0.4380 0.1828 0.9670 O
0.4800 0.2575 0.5656 O
0.5200 0.7425 0.0656 O
0.5620 0.8172 0.4670 O
0.6407 0.3593 0.2500 O
0.7425 0.5200 0.9344 O
0.8080 0.1734 0.0107 O
0.8172 0.5620 0.5330 O
0.8266 0.1920 0.4893 O
0.8422 0.8790 0.8259 O
0.8790 0.8422 0.1741 O
```